For Sr3Cu11, a cell relaxed with GGA-PBE gives the computed powder XRD pattern in this record (Cu Kα, 1.54184 Å).
Neutral-atom scattering factors, no anomalous dispersion.

Peak list (6 most intense, 15° ≤ 2θ ≤ 90°, sorted by position)
(hkl)	d (Å)	Position (°2θ)	Rel. int.
1 3 0	2.600	34.49	100
1 2 3	2.535	35.40	58
0 4 0	2.498	35.95	60
1 0 5	2.141	42.21	70
2 0 0	2.080	43.50	76
1 2 5	1.968	46.13	76

Structure:
a = 4.1609 Å, b = 9.9918 Å, c = 12.4839 Å
α = 90.00°, β = 90.00°, γ = 90.00°
Space group Immm (No. 71)
Asymmetric unit:
Sr 0.0000 0.0000 0.0000
Sr 0.0000 0.0000 0.3077
Cu 0.0000 0.2247 0.5000
Cu 0.0000 0.2823 0.1046
Cu 0.0000 0.2988 0.3049
Cu 0.0000 0.5000 0.0000